(1)
# Zn2AsO5
Theoretical powder XRD pattern, Cu Kα, 1.54184 Å. Input: a PBE-relaxed structure.

Most intense lines, 2θ = 10–80°, by angle:
2θ = 13.83°, rel. 61.5; 2θ = 23.65°, rel. 100.0; 2θ = 29.27°, rel. 99.2; 2θ = 31.46°, rel. 89.4; 2θ = 34.52°, rel. 44.0; 2θ = 35.50°, rel. 52.8

Atomic structure:
a b c (Å): 5.7227 5.8893 6.8320
angles (deg): 75.05 75.93 88.33
Positions (direct):
Zn  0.0289  0.2375  0.3108
Zn  0.3941  0.7452  0.9995
Zn  0.6059  0.2548  0.0005
Zn  0.9711  0.7625  0.6892
As  0.1722  0.2547  0.7701
As  0.8278  0.7453  0.2299
O  0.0463  0.7565  0.9981
O  0.0584  0.1100  0.6209
O  0.2341  0.5422  0.6382
O  0.3491  0.3984  0.1787
O  0.4232  0.1131  0.8344
O  0.5768  0.8869  0.1656
O  0.6509  0.6016  0.8213
O  0.7659  0.4578  0.3618
O  0.9416  0.8900  0.3791
O  0.9537  0.2435  0.0019

(2)
# Bi12O16F5
Theoretical powder XRD pattern, Cu Kα, 1.54184 Å. Input: a PBE-relaxed structure.

Most intense lines, 2θ = 10–80°, by angle:
2θ = 25.39°, rel. 43.3; 2θ = 26.48°, rel. 68.1; 2θ = 26.92°, rel. 68.2; 2θ = 31.98°, rel. 100.0; 2θ = 33.09°, rel. 39.7; 2θ = 55.72°, rel. 34.3

Atomic structure:
a b c (Å): 13.8475 13.8475 10.4410
angles (deg): 100.84 100.84 15.81
Positions (direct):
Bi  0.0549  0.0549  0.2346
Bi  0.0768  0.0614  0.6065
Bi  0.1760  0.1896  0.0653
Bi  0.2197  0.1662  0.4393
Bi  0.3169  0.3162  0.2489
Bi  0.4349  0.4369  0.0744
Bi  0.5631  0.5651  0.9256
Bi  0.6838  0.6831  0.7511
Bi  0.8104  0.8240  0.9347
Bi  0.8338  0.7803  0.5607
Bi  0.9386  0.9232  0.3935
Bi  0.9451  0.9451  0.7654
O  0.0358  0.0321  0.7822
O  0.0941  0.0988  0.0696
O  0.1559  0.1524  0.6183
O  0.2119  0.2174  0.8794
O  0.2759  0.2775  0.4486
O  0.3384  0.3516  0.0401
O  0.4066  0.3966  0.2905
O  0.4621  0.4820  0.8741
O  0.5180  0.5379  0.1259
O  0.6034  0.5934  0.7095
O  0.6484  0.6616  0.9599
O  0.7225  0.7241  0.5514
O  0.7826  0.7881  0.1206
O  0.8476  0.8441  0.3817
O  0.9012  0.9059  0.9304
O  0.9679  0.9642  0.2178
F  0.2569  0.3395  0.7316
F  0.3419  0.4399  0.6308
F  0.4990  0.5010  0.5000
F  0.5601  0.6581  0.3692
F  0.6605  0.7431  0.2684

(3)
# NaYTiNbO6F
Theoretical powder XRD pattern, Cu Kα, 1.54184 Å. Input: a PBE-relaxed structure.

Most intense lines, 2θ = 10–80°, by angle:
2θ = 19.13°, rel. 31.7; 2θ = 29.84°, rel. 100.0; 2θ = 34.59°, rel. 19.2; 2θ = 47.19°, rel. 8.8; 2θ = 49.73°, rel. 50.7; 2θ = 59.08°, rel. 36.1

Atomic structure:
a b c (Å): 7.3352 7.3352 10.3688
angles (deg): 90.00 90.00 90.00
Positions (direct):
Na  0.0000  0.2340  0.0000
Na  0.0000  0.7660  0.5000
Na  0.2340  0.0000  0.7500
Na  0.7660  0.0000  0.2500
Y  0.2163  0.5000  0.7500
Y  0.5000  0.2163  0.0000
Y  0.5000  0.7837  0.5000
Y  0.7837  0.5000  0.2500
Ti  0.2668  0.5000  0.2500
Ti  0.5000  0.2668  0.5000
Ti  0.5000  0.7332  0.0000
Ti  0.7332  0.5000  0.7500
Nb  0.0000  0.2608  0.5000
Nb  0.0000  0.7392  0.0000
Nb  0.2608  0.0000  0.2500
Nb  0.7392  0.0000  0.7500
O  0.0509  0.4539  0.3667
O  0.0509  0.5461  0.1333
O  0.0644  0.0644  0.3750
O  0.0644  0.9356  0.1250
O  0.2510  0.2782  0.5756
O  0.2510  0.7218  0.9244
O  0.2782  0.2510  0.1744
O  0.2782  0.7490  0.3256
O  0.4539  0.0509  0.3833
O  0.4540  0.4540  0.3750
O  0.4540  0.5460  0.1250
O  0.4539  0.9491  0.1167
O  0.5461  0.0509  0.6167
O  0.5460  0.4540  0.6250
O  0.5460  0.5460  0.8750
O  0.5461  0.9491  0.8833
O  0.7218  0.2510  0.8256
O  0.7218  0.7490  0.6744
O  0.7490  0.2782  0.4244
O  0.7490  0.7218  0.0756
O  0.9356  0.0644  0.6250
O  0.9356  0.9356  0.8750
O  0.9491  0.4539  0.6333
O  0.9491  0.5461  0.8667
F  0.2527  0.2527  0.8750
F  0.2527  0.7473  0.6250
F  0.7473  0.2527  0.1250
F  0.7473  0.7473  0.3750

(4)
# K2LiLa4O7
Theoretical powder XRD pattern, Cu Kα, 1.54184 Å. Input: a PBE-relaxed structure.

Most intense lines, 2θ = 10–80°, by angle:
2θ = 11.49°, rel. 77.0; 2θ = 20.33°, rel. 27.7; 2θ = 26.28°, rel. 100.0; 2θ = 27.39°, rel. 44.8; 2θ = 27.60°, rel. 48.2; 2θ = 29.00°, rel. 80.4

Atomic structure:
a b c (Å): 6.1633 6.8257 7.7166
angles (deg): 88.46 86.72 63.25
Positions (direct):
K  0.0000  0.0000  0.0000
K  0.4043  0.1941  0.0025
Li  0.5355  0.9318  0.5003
La  0.3168  0.3711  0.5017
La  0.6392  0.6187  0.7420
La  0.7471  0.6169  0.2607
La  0.9912  0.0215  0.5011
O  0.0512  0.2732  0.3028
O  0.2773  0.0916  0.6637
O  0.4203  0.6902  0.4630
O  0.6288  0.7562  0.0008
O  0.6347  0.0936  0.3392
O  0.6808  0.2737  0.6995
O  0.8936  0.6899  0.5389

(5)
# SrMg14C
Theoretical powder XRD pattern, Cu Kα, 1.54184 Å. Input: a PBE-relaxed structure.

Most intense lines, 2θ = 10–80°, by angle:
2θ = 18.04°, rel. 17.5; 2θ = 31.85°, rel. 26.6; 2θ = 35.35°, rel. 20.7; 2θ = 36.55°, rel. 100.0; 2θ = 56.75°, rel. 18.8; 2θ = 68.65°, rel. 15.7

Atomic structure:
a b c (Å): 6.4889 6.4889 10.1573
angles (deg): 90.00 90.00 120.00
Positions (direct):
Sr  0.0000  0.0000  0.0000
Mg  0.0161  0.5080  0.0000
Mg  0.1594  0.3187  0.2820
Mg  0.1594  0.3187  0.7180
Mg  0.1594  0.8406  0.2820
Mg  0.1594  0.8406  0.7180
Mg  0.4920  0.5080  0.0000
Mg  0.4920  0.9839  0.0000
Mg  0.5088  0.0176  0.5000
Mg  0.5088  0.4912  0.5000
Mg  0.6667  0.3333  0.2385
Mg  0.6667  0.3333  0.7615
Mg  0.6813  0.8406  0.2820
Mg  0.6813  0.8406  0.7180
Mg  0.9824  0.4912  0.5000
C  0.0000  0.0000  0.5000